Diffraction record for NbVB4. The XRD peak list is computed, not measured: it uses DFT lattice parameters and positions (PBE) and Cu Kα (λ = 1.5418 Å).

Peak list (10 most intense, 2θ = 10–80°, by intensity)
2θ (°)	Rel. int.
44.46	1000
33.73	729
28.10	295
60.33	224
13.94	198
68.89	175
77.95	173
36.66	152
67.85	147
58.10	82

Structural model:
a b c (Å): 3.068 3.068 6.351
angles (deg): 90.00 90.00 120.00
Sites, in units of the cell vectors:
Nb1 0.000 0.000 0.000
V1 0.000 0.000 0.500
B1 0.333 0.667 0.265
B2 0.333 0.667 0.735
B3 0.667 0.333 0.265
B4 0.667 0.333 0.735


Diffraction record for NbB2W. The XRD peak list is computed, not measured: it uses DFT lattice parameters and positions (PBE) and Cu Kα (λ = 1.5418 Å).

Peak list (10 most intense, 2θ = 10–80°, by intensity)
2θ (°)	Rel. int.
41.37	1000
35.32	975
29.39	663
41.87	631
68.24	292
68.63	285
41.68	276
20.49	271
74.84	226
51.40	217

Structural model:
a b c (Å): 3.137 3.245 8.668
angles (deg): 90.00 90.00 90.00
Sites, in units of the cell vectors:
Nb1 0.000 0.000 0.000
Nb2 0.000 0.500 0.500
B1 0.000 0.000 0.707
B2 0.000 0.500 0.207
B3 0.500 0.000 0.590
B4 0.500 0.500 0.090
W1 0.500 0.000 0.290
W2 0.500 0.500 0.790